Record 1
For Tl2SnGe, the PBE geometry in Alexandria gives the calculated X-ray powder pattern in this record (Cu Kα, 1.54184 Å).
Peak positions follow from Bragg's law for the DFT cell and can differ from measured ones.

Structural model:
```
data_Tl2SnGe
_symmetry_space_group_name_H-M 'P 1'
_symmetry_Int_Tables_number 1
_cell_length_a 3.557
_cell_length_b 8.175
_cell_length_c 8.621
_cell_angle_alpha 65.39
_cell_angle_beta 89.99
_cell_angle_gamma 89.98
loop_
_symmetry_equiv_pos_as_xyz
'x,y,z'
loop_
_atom_site_label
_atom_site_type_symbol
_atom_site_fract_x
_atom_site_fract_y
_atom_site_fract_z
_atom_site_occupancy
Tl1 Tl 0.000 0.000 0.000 1
Tl2 Tl 0.000 0.497 0.341 1
Tl3 Tl 0.500 0.389 0.728 1
Tl4 Tl 0.501 0.671 0.942 1
Sn1 Sn 0.499 0.232 0.175 1
Sn2 Sn 0.500 0.069 0.566 1
Ge1 Ge 0.001 0.766 0.602 1
Ge2 Ge 0.501 0.838 0.354 1
```

Largest 8 diffraction maxima, in order of rising 2θ, 10 to 90 degrees two-theta:
2θ (°)	d/Å	I (rel.)	index
28.09	3.176	36	-1 1 1
29.88	2.990	62	0 1 -2
31.99	2.798	81	1 1 -1
32.71	2.738	100	0 2 3
33.07	2.708	71	0 3 1
33.42	2.681	28	1 2 1
35.85	2.505	49	1 2 2
50.01	1.824	29	1 1 4

***

Record 2
For V6SnGe, the PBE geometry in Alexandria gives the calculated X-ray powder pattern in this record (Cu Kα, 1.54184 Å).
Peak positions follow from Bragg's law for the DFT cell and can differ from measured ones.

Structural model:
```
data_V6SnGe
_symmetry_space_group_name_H-M 'A m m 2'
_symmetry_Int_Tables_number 38
_cell_length_a 4.367
_cell_length_b 5.848
_cell_length_c 9.072
_cell_angle_alpha 90.00
_cell_angle_beta 90.00
_cell_angle_gamma 90.00
loop_
_symmetry_equiv_pos_as_xyz
'x,y,z'
'-x,-y,z'
'-x,y,z'
'x,-y,z'
'x,y+1/2,z+1/2'
'-x,-y+1/2,z+1/2'
'-x,y+1/2,z+1/2'
'x,-y+1/2,z+1/2'
loop_
_atom_site_label
_atom_site_type_symbol
_atom_site_fract_x
_atom_site_fract_y
_atom_site_fract_z
_atom_site_occupancy
V1 V 0.000 0.000 0.000 1
V2 V 0.000 0.234 0.772 1
V3 V 0.500 0.000 0.738 1
V4 V 0.500 0.247 0.468 1
Sn1 Sn 0.500 0.000 0.211 1
Ge1 Ge 0.000 0.000 0.524 1
```

Largest 8 diffraction maxima, in order of rising 2θ, 10 to 90 degrees two-theta:
2θ (°)	d/Å	I (rel.)	index
27.32	3.265	15	1 1 1
39.74	2.268	21	0 0 4
41.35	2.184	30	2 0 0
42.19	2.142	100	1 2 2
45.04	2.013	15	1 0 4
58.69	1.573	13	2 0 4
75.97	1.253	16	3 2 2
78.77	1.215	10	2 4 0

***

Record 3
For V7Sn2Ge2, the PBE geometry in Alexandria gives the calculated X-ray powder pattern in this record (Cu Kα, 1.54184 Å).
Peak positions follow from Bragg's law for the DFT cell and can differ from measured ones.

Structural model:
```
data_V7Sn2Ge2
_symmetry_space_group_name_H-M 'I m m m'
_symmetry_Int_Tables_number 71
_symmetry_space_group_name_Hall '-I 2 2'
_cell_length_a 4.483
_cell_length_b 8.536
_cell_length_c 8.939
_cell_angle_alpha 90.00
_cell_angle_beta 90.00
_cell_angle_gamma 90.00
loop_
_atom_site_label
_atom_site_type_symbol
_atom_site_fract_x
_atom_site_fract_y
_atom_site_fract_z
_atom_site_occupancy
V1 V 0.000 0.000 0.000 1
V2 V 0.000 0.187 0.200 1
V3 V 0.243 0.500 0.000 1
Sn1 Sn 0.000 0.286 0.500 1
Ge1 Ge 0.000 0.500 0.258 1
```

Largest 8 diffraction maxima, in order of rising 2θ, 10 to 90 degrees two-theta:
2θ (°)	d/Å	I (rel.)	index
30.60	2.921	50	1 2 1
33.04	2.711	27	0 3 1
36.20	2.481	35	1 0 3
40.24	2.241	36	2 0 0
40.36	2.235	43	0 0 4
42.12	2.145	71	1 2 3
42.73	2.116	100	1 3 2
50.31	1.814	24	2 2 2

***

Record 4
For Y8SnGe5, the PBE geometry in Alexandria gives the calculated X-ray powder pattern in this record (Cu Kα, 1.54184 Å).
Peak positions follow from Bragg's law for the DFT cell and can differ from measured ones.

Structural model:
```
data_Y8SnGe5
_symmetry_space_group_name_H-M 'I -4'
_symmetry_Int_Tables_number 82
_cell_length_a 8.966
_cell_length_b 8.966
_cell_length_c 8.897
_cell_angle_alpha 90.00
_cell_angle_beta 90.00
_cell_angle_gamma 90.00
loop_
_symmetry_equiv_pos_as_xyz
'x,y,z'
'y,-x,-z'
'-x,-y,z'
'-y,x,-z'
'x+1/2,y+1/2,z+1/2'
'y+1/2,-x+1/2,-z+1/2'
'-x+1/2,-y+1/2,z+1/2'
'-y+1/2,x+1/2,-z+1/2'
loop_
_atom_site_label
_atom_site_type_symbol
_atom_site_fract_x
_atom_site_fract_y
_atom_site_fract_z
_atom_site_occupancy
Y1 Y 0.064 0.187 0.188 1
Y2 Y 0.069 0.324 0.561 1
Sn1 Sn 0.000 0.000 0.500 1
Ge1 Ge 0.000 0.500 0.250 1
Ge2 Ge 0.127 0.251 0.874 1
```

Largest 8 diffraction maxima, in order of rising 2θ, 10 to 90 degrees two-theta:
2θ (°)	d/Å	I (rel.)	index
31.57	2.834	100	1 3 0
31.78	2.816	52	1 0 3
37.59	2.393	66	3 2 1
37.73	2.384	23	1 2 3
47.69	1.907	15	3 3 2
49.89	1.828	12	4 2 2
52.02	1.758	13	3 4 1
64.04	1.454	17	1 6 1

***

Record 5
For Zr3SnGe, the PBE geometry in Alexandria gives the calculated X-ray powder pattern in this record (Cu Kα, 1.54184 Å).
Peak positions follow from Bragg's law for the DFT cell and can differ from measured ones.

Structural model:
```
data_Zr3SnGe
_symmetry_space_group_name_H-M 'P 1 21/m 1'
_symmetry_Int_Tables_number 11
_cell_length_a 7.760
_cell_length_b 3.876
_cell_length_c 8.131
_cell_angle_alpha 90.00
_cell_angle_beta 95.93
_cell_angle_gamma 90.00
loop_
_symmetry_equiv_pos_as_xyz
'x,y,z'
'-x,-y,-z'
'-x,y+1/2,-z'
'x,-y+1/2,z'
loop_
_atom_site_label
_atom_site_type_symbol
_atom_site_fract_x
_atom_site_fract_y
_atom_site_fract_z
_atom_site_occupancy
Zr1 Zr 0.094 0.250 0.339 1
Zr2 Zr 0.337 0.250 0.967 1
Zr3 Zr 0.380 0.750 0.622 1
Sn1 Sn 0.351 0.750 0.241 1
Ge1 Ge 0.147 0.250 0.672 1
```

Largest 8 diffraction maxima, in order of rising 2θ, 10 to 90 degrees two-theta:
2θ (°)	d/Å	I (rel.)	index
31.98	2.798	31	0 1 2
32.75	2.735	87	2 1 0
33.24	2.696	44	0 0 3
33.82	2.650	100	2 1 -1
34.88	2.572	42	3 0 0
38.36	2.346	38	2 1 -2
41.18	2.192	51	2 1 2
46.88	1.938	44	0 2 0

***

Record 6
For SrGe2, the PBE geometry in Alexandria gives the calculated X-ray powder pattern in this record (Cu Kα, 1.54184 Å).
Peak positions follow from Bragg's law for the DFT cell and can differ from measured ones.

Structural model:
```
data_SrGe2
_symmetry_space_group_name_H-M 'P n m a'
_symmetry_Int_Tables_number 62
_cell_length_a 8.872
_cell_length_b 6.586
_cell_length_c 11.224
_cell_angle_alpha 90.00
_cell_angle_beta 90.00
_cell_angle_gamma 90.00
loop_
_symmetry_equiv_pos_as_xyz
'x,y,z'
'-x,-y,-z'
'-x+1/2,-y,z+1/2'
'x+1/2,y,-z+1/2'
'x+1/2,-y+1/2,-z+1/2'
'-x+1/2,y+1/2,z+1/2'
'-x,y+1/2,-z'
'x,-y+1/2,z'
loop_
_atom_site_label
_atom_site_type_symbol
_atom_site_fract_x
_atom_site_fract_y
_atom_site_fract_z
_atom_site_occupancy
Sr1 Sr 0.016 0.250 0.194 1
Sr2 Sr 0.149 0.750 0.406 1
Ge1 Ge 0.064 0.750 0.093 1
Ge2 Ge 0.194 0.054 0.650 1
Ge3 Ge 0.198 0.250 0.451 1
```

Largest 8 diffraction maxima, in order of rising 2θ, 10 to 90 degrees two-theta:
2θ (°)	d/Å	I (rel.)	index
18.55	4.784	30	1 1 1
27.08	3.293	38	0 2 0
27.42	3.253	43	0 1 3
31.28	2.860	100	3 0 1
33.12	2.705	65	1 2 2
33.50	2.675	35	1 0 4
34.86	2.574	50	2 2 1
41.85	2.159	60	2 2 3

***

Q: Number 5 is which compound?
A: Zr3SnGe

***

Q: Number 6 is which compound?
A: SrGe2

***

Q: What is the formula in the sixth record?
A: SrGe2